No. 1
Simulated powder XRD pattern
Compound: SmReBi
Radiation: Cu Kα
Structure: a structure optimized by DFT (PBE)
Lines closer than 0.1° are merged.

Top 12 peaks for 2θ = 10–90°, in order of rising 2θ:
h k l, two_theta, d (Å), I (rel.)
0 0 3, 17.69, 5.013, 36
0 0 5, 29.71, 3.007, 67
1 0 2, 30.33, 2.947, 35
0 1 -3, 32.51, 2.754, 24
1 0 -3, 32.90, 2.722, 32
0 1 3, 33.29, 2.691, 100
0 1 -4, 36.12, 2.487, 44
1 0 -4, 36.54, 2.459, 36
1 0 4, 36.99, 2.430, 26
1 -1 0, 39.41, 2.286, 65
1 1 0, 39.53, 2.280, 60
2 0 0, 57.27, 1.609, 25

Structural model:
```
6
Lattice="3.217 0.000 0.000 -0.008 3.241 0.000 -0.176 -0.390 15.040" Properties=species:S:1:pos:R:3 pbc="T T T"
Sm 0.713 0.616 4.665
Sm 2.319 2.235 10.375
Re 0.714 0.616 8.166
Re 2.318 2.235 6.874
Bi 0.717 0.622 13.086
Bi 2.316 2.229 1.954
```



No. 2
Simulated powder XRD pattern
Compound: HfNp2Se6
Radiation: Cu Kα
Structure: a structure optimized by DFT (PBE)
Lines closer than 0.1° are merged.

Top 12 peaks for 2θ = 10–90°, in order of rising 2θ:
h k l, two_theta, d (Å), I (rel.)
1 1 0, 19.16, 4.632, 100
1 0 3, 25.55, 3.487, 49
1 1 3, 29.01, 3.078, 28
2 1 3, 37.68, 2.387, 90
2 2 0, 38.89, 2.316, 32
3 1 0, 43.70, 2.072, 14
0 0 6, 43.96, 2.060, 15
3 0 3, 47.11, 1.929, 44
1 1 6, 48.37, 1.882, 18
2 2 6, 60.12, 1.539, 17
4 1 3, 62.67, 1.482, 13
5 2 3, 82.72, 1.167, 17

Structural model:
```
18
Lattice="6.551 0.000 0.000 0.000 6.551 0.000 0.000 0.000 12.357" Properties=species:S:1:pos:R:3 pbc="T T T"
Hf 0.000 0.000 0.000
Hf 3.275 3.275 6.179
Np 0.000 0.000 4.088
Np 0.000 0.000 8.269
Np 3.275 3.275 2.090
Np 3.275 3.275 10.267
Se 1.272 1.272 1.939
Se 1.272 1.272 10.418
Se 1.337 1.337 6.179
Se 1.938 4.612 0.000
Se 2.003 4.548 4.240
Se 2.003 4.548 8.117
Se 4.548 2.003 4.240
Se 4.548 2.003 8.117
Se 4.612 1.938 0.000
Se 5.214 5.214 6.179
Se 5.279 5.279 1.939
Se 5.279 5.279 10.418
```